(1)
Structure and theoretical PXRD pattern of BaP (the PBE geometry in Alexandria; λ = 1.5418 Å (Cu Kα)).
Lines closer than 0.1° are merged.

Main lines, in order of rising 2θ (5° ≤ 2θ ≤ 70°):
d/Å  2theta  intensity
3.960  22.45  34.4
3.905  22.78  50.8
3.584  24.85  100.0
2.885  31.00  32.6
2.859  31.28  53.2
2.758  32.47  19.2
2.682  33.41  21.4
2.609  34.37  29.6
2.476  36.29  36.5
1.927  47.15  31.6

Atomic structure:
```
data_BaP
_cell_length_a 6.0802
_cell_length_b 8.4204
_cell_length_c 10.4375
_cell_angle_alpha 90.00
_cell_angle_beta 90.00
_cell_angle_gamma 90.00
_space_group_name_H-M_alt 'P b c a'
_space_group_IT_number 61
loop_
_space_group_symop_operation_xyz
'x,y,z'
'-x,-y,-z'
'-x+1/2,-y,z+1/2'
'x+1/2,y,-z+1/2'
'x+1/2,-y+1/2,-z'
'-x+1/2,y+1/2,z'
'-x,y+1/2,-z+1/2'
'x,-y+1/2,z+1/2'
loop_
_atom_site_label
_atom_site_type_symbol
_atom_site_fract_x
_atom_site_fract_y
_atom_site_fract_z
Ba1 Ba 0.1077 0.1782 0.1256
P1 P 0.1097 0.0325 0.4181
```



(2)
Structure and theoretical PXRD pattern of BaP8 (the PBE geometry in Alexandria; λ = 1.5418 Å (Cu Kα)).
Lines closer than 0.1° are merged.

Main lines, in order of rising 2θ (5° ≤ 2θ ≤ 70°):
d/Å  2theta  intensity
5.469  16.21  44.0
4.069  21.84  53.5
3.646  24.41  49.2
3.611  24.66  58.1
3.269  27.28  100.0
3.171  28.14  44.8
2.876  31.09  40.9
2.648  33.86  80.6
2.529  35.49  43.3
2.393  37.59  38.3

Atomic structure:
```
data_BaP8
_cell_length_a 6.8541
_cell_length_b 7.3378
_cell_length_c 8.6851
_cell_angle_alpha 86.30
_cell_angle_beta 83.78
_cell_angle_gamma 70.17
_space_group_name_H-M_alt 'P -1'
_space_group_IT_number 2
loop_
_space_group_symop_operation_xyz
'x,y,z'
'-x,-y,-z'
loop_
_atom_site_label
_atom_site_type_symbol
_atom_site_fract_x
_atom_site_fract_y
_atom_site_fract_z
Ba1 Ba 0.2368 0.1656 0.3210
P1 P 0.0234 0.8312 0.2028
P2 P 0.0981 0.7272 0.9598
P3 P 0.1038 0.3779 0.6727
P4 P 0.2635 0.8233 0.6054
P5 P 0.2641 0.9206 0.8425
P6 P 0.3581 0.4517 0.9974
P7 P 0.4098 0.3170 0.7588
P8 P 0.4871 0.4578 0.3820
```



(3)
Structure and theoretical PXRD pattern of Ba2PPb2 (the PBE geometry in Alexandria; λ = 1.5418 Å (Cu Kα)).
Lines closer than 0.1° are merged.

Main lines, in order of rising 2θ (5° ≤ 2θ ≤ 70°):
d/Å  2theta  intensity
5.729  15.47  16.8
3.010  29.68  100.0
2.702  33.15  18.4
2.562  35.02  18.9
1.910  47.62  8.0
1.859  48.99  14.6
1.847  49.35  10.3
1.613  57.10  16.1
1.560  59.25  8.4
1.449  64.27  13.8

Atomic structure:
```
data_Ba2PPb2
_cell_length_a 8.1020
_cell_length_b 8.1020
_cell_length_c 5.4046
_cell_angle_alpha 90.00
_cell_angle_beta 90.00
_cell_angle_gamma 90.00
_space_group_name_H-M_alt 'P 4/m b m'
_space_group_IT_number 127
_space_group_name_Hall '-P 4 2ab'
loop_
_atom_site_label
_atom_site_type_symbol
_atom_site_fract_x
_atom_site_fract_y
_atom_site_fract_z
Ba1 Ba 0.1714 0.3286 0.0000
P1 P 0.0000 0.0000 0.5000
Pb1 Pb 0.1396 0.6396 0.5000
```



(4)
Structure and theoretical PXRD pattern of BaP3Pd3 (the PBE geometry in Alexandria; λ = 1.5418 Å (Cu Kα)).
Lines closer than 0.1° are merged.

Main lines, in order of rising 2θ (5° ≤ 2θ ≤ 70°):
d/Å  2theta  intensity
3.332  26.76  43.4
2.980  29.99  41.7
2.720  32.93  100.0
1.924  47.25  13.0
1.848  49.31  10.7
1.781  51.30  55.4
1.666  55.13  22.7
1.490  62.32  15.4
1.454  64.03  9.6
1.421  65.73  13.1

Atomic structure:
```
data_BaP3Pd3
_cell_length_a 6.6635
_cell_length_b 6.6635
_cell_length_c 6.6635
_cell_angle_alpha 90.00
_cell_angle_beta 90.00
_cell_angle_gamma 90.00
_space_group_name_H-M_alt 'P m -3 n'
_space_group_IT_number 223
_space_group_name_Hall '-P 4n 2 3'
loop_
_atom_site_label
_atom_site_type_symbol
_atom_site_fract_x
_atom_site_fract_y
_atom_site_fract_z
Ba1 Ba 0.0000 0.0000 0.0000
P1 P 0.0000 0.2500 0.5000
Pd1 Pd 0.0000 0.5000 0.2500
```



(5)
Structure and theoretical PXRD pattern of Ba3P3Pd2 (the PBE geometry in Alexandria; λ = 1.5418 Å (Cu Kα)).
Lines closer than 0.1° are merged.

Main lines, in order of rising 2θ (5° ≤ 2θ ≤ 70°):
d/Å  2theta  intensity
4.071  21.83  24.4
3.649  24.39  21.8
2.910  30.72  81.4
2.882  31.03  100.0
2.710  33.05  27.9
2.379  37.82  29.6
2.366  38.02  19.3
2.178  41.46  35.8
1.983  45.75  29.2
1.606  57.36  17.3

Atomic structure:
```
data_Ba3P3Pd2
_cell_length_a 4.3556
_cell_length_b 11.7344
_cell_length_c 16.2624
_cell_angle_alpha 90.00
_cell_angle_beta 90.00
_cell_angle_gamma 90.00
_space_group_name_H-M_alt 'C m c m'
_space_group_IT_number 63
_space_group_name_Hall '-C 2c 2'
loop_
_atom_site_label
_atom_site_type_symbol
_atom_site_fract_x
_atom_site_fract_y
_atom_site_fract_z
Ba1 Ba 0.0000 0.0427 0.2500
Ba2 Ba 0.0000 0.3411 0.0950
P1 P 0.0000 0.0650 0.0515
P2 P 0.0000 0.2552 0.7500
Pd1 Pd 0.0000 0.3724 0.6167
```



(6)
Structure and theoretical PXRD pattern of BaP3Pd7 (the PBE geometry in Alexandria; λ = 1.5418 Å (Cu Kα)).
Lines closer than 0.1° are merged.

Main lines, in order of rising 2θ (5° ≤ 2θ ≤ 70°):
d/Å  2theta  intensity
2.843  31.47  50.0
2.528  35.51  74.2
2.467  36.43  57.6
2.295  39.25  100.0
2.183  41.36  58.6
2.015  44.98  41.5
1.875  48.56  13.3
1.470  63.26  30.0
1.421  65.69  16.9
1.374  68.29  13.3

Atomic structure:
```
data_BaP3Pd7
_cell_length_a 7.7787
_cell_length_b 7.7787
_cell_length_c 21.2055
_cell_angle_alpha 90.00
_cell_angle_beta 90.00
_cell_angle_gamma 120.00
_space_group_name_H-M_alt 'R -3 c'
_space_group_IT_number 167
_space_group_name_Hall '-R 3 2"c'
loop_
_atom_site_label
_atom_site_type_symbol
_atom_site_fract_x
_atom_site_fract_y
_atom_site_fract_z
Ba1 Ba 0.0000 0.0000 0.0000
P1 P 0.0000 0.3177 0.2500
Pd1 Pd 0.0000 0.0000 0.2500
Pd2 Pd 0.0090 0.2183 0.1385
```



(7)
Structure and theoretical PXRD pattern of BaP2Pd6 (the PBE geometry in Alexandria; λ = 1.5418 Å (Cu Kα)).
Lines closer than 0.1° are merged.

Main lines, in order of rising 2θ (5° ≤ 2θ ≤ 70°):
d/Å  2theta  intensity
9.776  9.05  62.3
3.154  28.29  14.0
2.558  35.08  8.9
2.507  35.82  100.0
2.444  36.77  11.6
2.175  41.53  39.7
2.065  43.85  47.5
1.625  56.66  10.1
1.577  58.52  11.8
1.460  63.75  15.3

Atomic structure:
```
data_BaP2Pd6
_cell_length_a 4.1293
_cell_length_b 4.1293
_cell_length_c 9.7761
_cell_angle_alpha 90.00
_cell_angle_beta 90.00
_cell_angle_gamma 90.00
_space_group_name_H-M_alt 'P 4/m m m'
_space_group_IT_number 123
_space_group_name_Hall '-P 4 2'
loop_
_atom_site_label
_atom_site_type_symbol
_atom_site_fract_x
_atom_site_fract_y
_atom_site_fract_z
Ba1 Ba 0.0000 0.0000 0.0000
P1 P 0.5000 0.5000 0.1885
Pd1 Pd 0.0000 0.0000 0.5000
Pd2 Pd 0.0000 0.5000 0.3025
Pd3 Pd 0.5000 0.5000 0.5000
```



(8)
Structure and theoretical PXRD pattern of Ba5PPd (the PBE geometry in Alexandria; λ = 1.5418 Å (Cu Kα)).
Lines closer than 0.1° are merged.

Main lines, in order of rising 2θ (5° ≤ 2θ ≤ 70°):
d/Å  2theta  intensity
17.310  5.11  46.1
7.755  11.41  63.5
3.877  22.94  47.4
3.644  24.43  87.4
3.475  25.64  86.9
3.462  25.73  90.3
3.293  27.08  100.0
3.132  28.50  54.1
3.085  28.95  74.3
1.896  47.99  63.7

Atomic structure:
```
data_Ba5PPd
_cell_length_a 8.6882
_cell_length_b 4.5273
_cell_length_c 17.3101
_cell_angle_alpha 90.00
_cell_angle_beta 90.19
_cell_angle_gamma 90.00
_space_group_name_H-M_alt 'P 1 21/m 1'
_space_group_IT_number 11
loop_
_space_group_symop_operation_xyz
'x,y,z'
'-x,-y,-z'
'-x,y+1/2,-z'
'x,-y+1/2,z'
loop_
_atom_site_label
_atom_site_type_symbol
_atom_site_fract_x
_atom_site_fract_y
_atom_site_fract_z
Ba1 Ba 0.0825 0.2500 0.2125
Ba2 Ba 0.1313 0.2500 0.5905
Ba3 Ba 0.2160 0.7500 0.9976
Ba4 Ba 0.3788 0.7500 0.4171
Ba5 Ba 0.3854 0.2500 0.7890
P1 P 0.0785 0.2500 0.8874
Pd1 Pd 0.3717 0.7500 0.6318
```



(9)
Structure and theoretical PXRD pattern of BaP2Pd2 (the PBE geometry in Alexandria; λ = 1.5418 Å (Cu Kα)).
Lines closer than 0.1° are merged.

Main lines, in order of rising 2θ (5° ≤ 2θ ≤ 70°):
d/Å  2theta  intensity
5.704  15.53  16.2
3.443  25.88  38.1
2.852  31.36  23.0
2.692  33.28  100.0
2.380  37.80  21.6
2.159  41.84  39.7
1.721  53.21  20.7
1.614  57.06  28.6
1.599  57.65  12.2
1.527  60.66  13.0

Atomic structure:
```
data_BaP2Pd2
_cell_length_a 4.3179
_cell_length_b 4.3179
_cell_length_c 5.7043
_cell_angle_alpha 90.00
_cell_angle_beta 90.00
_cell_angle_gamma 90.00
_space_group_name_H-M_alt 'P 4/m m m'
_space_group_IT_number 123
_space_group_name_Hall '-P 4 2'
loop_
_atom_site_label
_atom_site_type_symbol
_atom_site_fract_x
_atom_site_fract_y
_atom_site_fract_z
Ba1 Ba 0.0000 0.0000 0.0000
P1 P 0.5000 0.5000 0.2913
Pd1 Pd 0.0000 0.5000 0.5000
```



(10)
Structure and theoretical PXRD pattern of Ba3P4Pd4 (the PBE geometry in Alexandria; λ = 1.5418 Å (Cu Kα)).
Lines closer than 0.1° are merged.

Main lines, in order of rising 2θ (5° ≤ 2θ ≤ 70°):
d/Å  2theta  intensity
12.183  7.26  13.2
3.825  23.25  12.9
3.046  29.32  13.8
2.804  31.91  100.0
2.797  32.00  33.3
2.777  32.24  35.1
2.300  39.17  46.4
2.168  41.65  25.7
1.973  46.01  18.8
1.710  53.61  14.6

Atomic structure:
```
data_Ba3P4Pd4
_cell_length_a 4.3366
_cell_length_b 4.6026
_cell_length_c 12.5791
_cell_angle_alpha 100.39
_cell_angle_beta 99.85
_cell_angle_gamma 90.16
_space_group_name_H-M_alt 'P -1'
_space_group_IT_number 2
loop_
_space_group_symop_operation_xyz
'x,y,z'
'-x,-y,-z'
loop_
_atom_site_label
_atom_site_type_symbol
_atom_site_fract_x
_atom_site_fract_y
_atom_site_fract_z
Ba1 Ba 0.0000 0.0000 0.0000
Ba2 Ba 0.3535 0.8554 0.7064
P1 P 0.2026 0.7089 0.4005
P2 P 0.4527 0.4536 0.9048
Pd1 Pd 0.0989 0.5996 0.1978
Pd2 Pd 0.2431 0.2716 0.4996
```



(11)
Structure and theoretical PXRD pattern of Ba2PPdRu (the PBE geometry in Alexandria; λ = 1.5418 Å (Cu Kα)).
Lines closer than 0.1° are merged.

Main lines, in order of rising 2θ (5° ≤ 2θ ≤ 70°):
d/Å  2theta  intensity
7.962  11.11  41.1
4.101  21.67  37.9
3.185  28.01  57.8
3.001  29.77  65.8
2.949  30.30  55.5
2.548  35.23  54.7
2.397  37.53  100.0
2.122  42.60  69.4
1.766  51.76  41.3
1.631  56.41  35.7

Atomic structure:
```
data_Ba2PPdRu
_cell_length_a 4.2444
_cell_length_b 4.2444
_cell_length_c 15.9249
_cell_angle_alpha 90.00
_cell_angle_beta 90.00
_cell_angle_gamma 90.00
_space_group_name_H-M_alt 'P 4/n m m'
_space_group_IT_number 129
loop_
_space_group_symop_operation_xyz
'x,y,z'
'-x,-y,-z'
'-y+1/2,x,z'
'y+1/2,-x,-z'
'-x+1/2,-y+1/2,z'
'x+1/2,y+1/2,-z'
'y,-x+1/2,z'
'-y,x+1/2,-z'
'x+1/2,-y,-z'
'-x+1/2,y,z'
'-y,-x,-z'
'y,x,z'
'-x,y+1/2,-z'
'x,-y+1/2,z'
'y+1/2,x+1/2,-z'
'-y+1/2,-x+1/2,z'
loop_
_atom_site_label
_atom_site_type_symbol
_atom_site_fract_x
_atom_site_fract_y
_atom_site_fract_z
Ba1 Ba 0.2500 0.2500 0.0918
Ba2 Ba 0.2500 0.2500 0.6713
P1 P 0.2500 0.2500 0.4302
Pd1 Pd 0.2500 0.2500 0.8734
Ru1 Ru 0.2500 0.7500 0.5000
```



(12)
Structure and theoretical PXRD pattern of Ba2Sb3PPd4 (the PBE geometry in Alexandria; λ = 1.5418 Å (Cu Kα)).
Lines closer than 0.1° are merged.

Main lines, in order of rising 2θ (5° ≤ 2θ ≤ 70°):
d/Å  2theta  intensity
3.346  26.64  13.0
2.832  31.59  100.0
2.366  38.03  48.2
2.079  43.53  17.9
1.937  46.90  12.1
1.816  50.23  27.3
1.673  54.88  16.3
1.564  59.05  10.9
1.499  61.90  10.5
1.440  64.71  18.4

Atomic structure:
```
data_Ba2Sb3PPd4
_cell_length_a 4.7322
_cell_length_b 4.7322
_cell_length_c 10.6171
_cell_angle_alpha 90.00
_cell_angle_beta 90.00
_cell_angle_gamma 90.00
_space_group_name_H-M_alt 'P -4 m 2'
_space_group_IT_number 115
loop_
_space_group_symop_operation_xyz
'x,y,z'
'y,-x,-z'
'-x,-y,z'
'-y,x,-z'
'-x,y,z'
'-y,-x,-z'
'x,-y,z'
'y,x,-z'
loop_
_atom_site_label
_atom_site_type_symbol
_atom_site_fract_x
_atom_site_fract_y
_atom_site_fract_z
Ba1 Ba 0.0000 0.5000 0.2434
Sb1 Sb 0.0000 0.0000 0.0000
Sb2 Sb 0.0000 0.5000 0.6290
P1 P 0.5000 0.5000 0.0000
Pd1 Pd 0.0000 0.0000 0.5000
Pd2 Pd 0.0000 0.5000 0.8901
Pd3 Pd 0.5000 0.5000 0.5000
```



(13)
Structure and theoretical PXRD pattern of BaPPt2 (the PBE geometry in Alexandria; λ = 1.5418 Å (Cu Kα)).
Lines closer than 0.1° are merged.

Main lines, in order of rising 2θ (5° ≤ 2θ ≤ 70°):
d/Å  2theta  intensity
5.006  17.72  44.7
3.820  23.29  18.9
3.672  24.24  100.0
3.364  26.50  31.8
2.647  33.86  51.3
2.503  35.88  78.4
2.341  38.45  61.3
1.836  49.66  31.6
1.682  54.57  47.8
1.605  57.40  19.4

Atomic structure:
```
data_BaPPt2
_cell_length_a 5.2979
_cell_length_b 5.2979
_cell_length_c 15.2800
_cell_angle_alpha 90.00
_cell_angle_beta 90.00
_cell_angle_gamma 90.00
_space_group_name_H-M_alt 'I -4 2 d'
_space_group_IT_number 122
_space_group_name_Hall 'I -4 2bw'
loop_
_atom_site_label
_atom_site_type_symbol
_atom_site_fract_x
_atom_site_fract_y
_atom_site_fract_z
Ba1 Ba 0.0000 0.0000 0.0000
P1 P 0.0000 0.0000 0.5000
Pt1 Pt 0.0015 0.2500 0.6250
```